Starting from a cell relaxed with GGA-PBE, the powder diffraction line list of CaCu3NiSe4 was calculated for Cu Kα, 1.54184 Å.
Intensities are scaled so that the largest is 100.

Crystal structure
Cell lengths 5.874, 5.874, 5.874 Å; angles 90.00, 90.00, 90.00 degrees
Element x y z (fractional)
Ca: 0.000 0.000 0.000
Cu: 0.000 0.500 0.500
Cu: 0.500 0.000 0.500
Cu: 0.500 0.500 0.000
Ni: 0.500 0.500 0.500
Se: 0.271 0.271 0.729
Se: 0.271 0.729 0.271
Se: 0.729 0.271 0.271
Se: 0.729 0.729 0.729

Main lines, low angle first (2θ from 5° to 70°):
(1 0 0), 2θ 15.08, I = 35; (1 1 1), 2θ 26.28, I = 94; (2 2 0), 2θ 43.58, I = 100; (3 1 1), 2θ 51.60, I = 38; (4 0 0), 2θ 63.33, I = 14; (3 3 1), 2θ 69.78, I = 13